# PmSbI2O2
Calculated X-ray powder pattern, Cu Kα X-rays. Input: a cell relaxed with GGA-PBE.
No peak broadening, texture or thermal motion is included.

Crystal structure
Unit cell a=3.9670 b=3.9670 c=9.1972 alpha=90.00 beta=90.00 gamma=90.00
Space group P4mm (No. 99)
One atom of each set of equivalent atoms:
1 Pm 0.0000 0.0000 0.0000
2 Sb 0.5000 0.5000 0.2549
3 I 0.0000 0.0000 0.4586
4 I 0.5000 0.5000 0.7991
5 O 0.0000 0.5000 0.1313

Most intense lines, 2θ = 15–90°, low angle first:
| two_theta | I (rel.) |
| --- | --- |
| 29.74 | 100.0 |
| 31.90 | 42.5 |
| 37.06 | 9.5 |
| 37.56 | 7.4 |
| 45.60 | 8.0 |
| 45.74 | 19.9 |
| 51.38 | 15.1 |
| 55.52 | 33.9 |
| 60.16 | 7.1 |
| 61.77 | 6.4 |
| 74.69 | 7.0 |
| 75.84 | 7.2 |


# PrIO
Calculated X-ray powder pattern, Cu Kα X-rays. Input: a cell relaxed with GGA-PBE.
No peak broadening, texture or thermal motion is included.

Crystal structure
Unit cell a=7.4048 b=13.8203 c=13.2022 alpha=90.00 beta=90.00 gamma=90.00
Space group Pbca (No. 61)
One atom of each set of equivalent atoms:
1 Pr 0.1202 0.1760 0.1822
2 Pr 0.1903 0.0017 0.9121
3 I 0.0160 0.1586 0.4854
4 I 0.1091 0.6301 0.7196
5 O 0.0680 0.0779 0.0513
6 O 0.1578 0.6108 0.2790

Most intense lines, 2θ = 15–90°, low angle first:
| two_theta | I (rel.) |
| --- | --- |
| 22.16 | 80.2 |
| 23.72 | 32.9 |
| 24.39 | 52.2 |
| 29.63 | 44.9 |
| 30.58 | 100.0 |
| 31.63 | 33.6 |
| 31.74 | 87.6 |
| 32.25 | 31.3 |
| 35.55 | 23.8 |
| 37.66 | 56.6 |
| 39.11 | 27.4 |
| 54.67 | 33.8 |